Starting from a DFT-relaxed cell (GGA+U, Alexandria), the powder X-ray diffraction pattern of PuUMnO6 was calculated for Cu Ka.

Structural model:
Cell lengths 5.4864, 5.4864, 9.7534 Å; angles 90.00, 90.00, 120.00 degrees
Fractional coordinates of all 18 atoms:
Pu 0.0000 0.0000 0.0000
Pu 0.0000 0.0000 0.5000
U 0.3333 0.6667 0.2500
U 0.6667 0.3333 0.7500
Mn 0.3333 0.6667 0.7500
Mn 0.6667 0.3333 0.2500
O 0.0128 0.3434 0.1334
O 0.0128 0.6693 0.3666
O 0.3307 0.3434 0.3666
O 0.3307 0.9872 0.1334
O 0.3434 0.0128 0.6334
O 0.3434 0.3307 0.8666
O 0.6566 0.6693 0.1334
O 0.6566 0.9872 0.3666
O 0.6693 0.0128 0.8666
O 0.6693 0.6566 0.6334
O 0.9872 0.3307 0.6334
O 0.9872 0.6566 0.8666

Top 12 peaks for 5° ≤ 2θ ≤ 70°, low angle first:
2theta, d/Å, I/Imax, hkl
18.68, 4.751, 62, 1 0 0
20.80, 4.271, 271, 1 0 1
26.19, 3.403, 1000, 1 0 2
32.64, 2.743, 442, 1 1 0
33.40, 2.683, 81, 1 0 3
36.86, 2.438, 87, 0 0 4
42.32, 2.136, 284, 2 0 2
50.05, 1.822, 390, 1 1 4
54.45, 1.685, 276, 2 1 2
58.26, 1.584, 141, 3 0 0
60.16, 1.538, 103, 1 0 6
68.40, 1.372, 58, 2 2 0